# BaZn3H9
Theoretical PXRD pattern, Cu Kα (λ = 1.5418 Å). Input: a structure optimized by DFT (GGA-PBE).

Most intense lines, 5 to 70 degrees two-theta, sorted by position:
2θ/deg  I/Imax
16.58  100
23.19  25
23.52  100
26.95  34
28.65  28
28.92  50
31.30  58
36.07  29
39.33  30
39.52  61
46.33  34
53.59  22

Cell and atoms:
Lattice parameters (Å, degrees): 6.955 6.955 7.564 90.00 90.00 100.46
Fractional positions:
Ba (0.155, 0.155, 0.000)
Ba (0.845, 0.845, 0.500)
Zn (0.233, 0.233, 0.500)
Zn (0.379, 0.607, 0.534)
Zn (0.393, 0.621, 0.966)
Zn (0.607, 0.379, 0.466)
Zn (0.621, 0.393, 0.034)
Zn (0.767, 0.767, 0.000)
H (0.101, 0.133, 0.666)
H (0.133, 0.101, 0.334)
H (0.162, 0.784, 0.790)
H (0.164, 0.468, 0.481)
H (0.169, 0.578, 0.019)
H (0.216, 0.838, 0.710)
H (0.422, 0.831, 0.481)
H (0.462, 0.538, 0.750)
H (0.468, 0.164, 0.519)
H (0.532, 0.836, 0.019)
H (0.538, 0.462, 0.250)
H (0.578, 0.169, 0.981)
H (0.784, 0.162, 0.210)
H (0.831, 0.422, 0.519)
H (0.836, 0.532, 0.981)
H (0.838, 0.216, 0.290)
H (0.867, 0.899, 0.834)
H (0.899, 0.867, 0.166)

=====

# BaZn2H6
Theoretical PXRD pattern, Cu Kα (λ = 1.5418 Å). Input: a structure optimized by DFT (GGA-PBE).

Most intense lines, 5 to 70 degrees two-theta, sorted by position:
2θ/deg  I/Imax
25.17  100
27.99  48
28.62  73
33.02  39
35.57  63
37.61  27
41.52  19
46.52  24
46.75  15
50.74  22
54.67  17
56.38  17

Cell and atoms:
Lattice parameters (Å, degrees): 6.728 6.728 5.486 107.50 107.50 78.93
Fractional positions:
Ba (0.250, 0.750, 0.750)
Ba (0.750, 0.250, 0.250)
Zn (0.150, 0.350, 0.001)
Zn (0.350, 0.150, 0.501)
Zn (0.650, 0.850, 0.499)
Zn (0.850, 0.650, 0.999)
H (0.032, 0.533, 0.246)
H (0.079, 0.134, 0.992)
H (0.134, 0.079, 0.492)
H (0.366, 0.420, 0.008)
H (0.420, 0.366, 0.508)
H (0.467, 0.968, 0.254)
H (0.533, 0.032, 0.746)
H (0.580, 0.634, 0.492)
H (0.634, 0.580, 0.992)
H (0.866, 0.921, 0.508)
H (0.921, 0.866, 0.008)
H (0.968, 0.467, 0.754)

=====

# BaHfInSbO6
Theoretical PXRD pattern, Cu Kα (λ = 1.5418 Å). Input: a structure optimized by DFT (GGA-PBE).

Most intense lines, 5 to 70 degrees two-theta, sorted by position:
2θ/deg  I/Imax
18.58  2
21.49  3
30.57  100
36.01  2
43.78  29
47.94  1
49.27  1
54.34  40
57.93  1
63.64  18
66.92  1
68.00  1

Cell and atoms:
Lattice parameters (Å, degrees): 5.849 5.849 5.849 60.00 60.00 60.00
Fractional positions:
Ba (0.000, 0.000, 0.000)
Hf (0.750, 0.750, 0.750)
In (0.500, 0.500, 0.500)
Sb (0.250, 0.250, 0.250)
O (0.004, 0.004, 0.496)
O (0.004, 0.496, 0.004)
O (0.004, 0.496, 0.496)
O (0.496, 0.004, 0.004)
O (0.496, 0.004, 0.496)
O (0.496, 0.496, 0.004)

=====

# KBa4Hf3O12
Theoretical PXRD pattern, Cu Kα (λ = 1.5418 Å). Input: a structure optimized by DFT (GGA-PBE).

Most intense lines, 5 to 70 degrees two-theta, sorted by position:
2θ/deg  I/Imax
14.51  10
20.57  1
25.26  5
29.25  100
32.80  2
39.03  3
41.85  29
44.52  2
51.87  41
54.16  2
60.67  18
68.76  18

Cell and atoms:
Lattice parameters (Å, degrees): 7.478 7.478 7.478 109.47 109.47 109.47
Fractional positions:
K (0.000, 0.000, 0.000)
Ba (0.000, 0.000, 0.500)
Ba (0.000, 0.500, 0.000)
Ba (0.500, 0.000, 0.000)
Ba (0.500, 0.500, 0.500)
Hf (0.000, 0.500, 0.500)
Hf (0.500, 0.000, 0.500)
Hf (0.500, 0.500, 0.000)
O (0.000, 0.272, 0.272)
O (0.000, 0.728, 0.728)
O (0.250, 0.500, 0.750)
O (0.250, 0.750, 0.500)
O (0.272, 0.000, 0.272)
O (0.272, 0.272, 0.000)
O (0.500, 0.250, 0.750)
O (0.500, 0.750, 0.250)
O (0.728, 0.000, 0.728)
O (0.728, 0.728, 0.000)
O (0.750, 0.250, 0.500)
O (0.750, 0.500, 0.250)